1.
Structure and theoretical powder XRD pattern of CuBr2F (a DFT-relaxed cell (PBE, Alexandria); λ = 1.5418 Å (Cu Kα)).
Lines closer than 0.1° are merged.

Top 6 peaks for 10 to 90 degrees two-theta, by angle:
d = 5.270 Å, I 31; d = 3.288 Å, I 100; d = 2.203 Å, I 25; d = 1.935 Å, I 37; d = 1.830 Å, I 28; d = 1.542 Å, I 10

Structure:
a b c (Å): 6.2317 6.2317 9.8755
angles (deg): 90.00 90.00 90.00
Space group I-42d (No. 122)
Unique sites:
Cu: 0.0000 0.0000 0.0000 x4
Br: 0.2056 0.2500 0.1250 x8
F: 0.0000 0.0000 0.5000 x4

---

2.
Structure and theoretical powder XRD pattern of NaCu2BrF2 (a DFT-relaxed cell (PBE, Alexandria); λ = 1.5418 Å (Cu Kα)).
Lines closer than 0.1° are merged.

Top 6 peaks for 10 to 90 degrees two-theta, by angle:
d = 7.198 Å, I 100; d = 5.731 Å, I 38; d = 5.279 Å, I 42; d = 3.084 Å, I 36; d = 2.225 Å, I 34; d = 1.798 Å, I 26

Structure:
a b c (Å): 5.9809 4.9070 7.5122
angles (deg): 90.00 106.62 90.00
Space group P2_1/m (No. 11)
Unique sites:
Na: 0.2400 0.2500 0.4193 x2
Cu: 0.3584 0.5025 0.8478 x4
Br: 0.2367 0.7500 0.0875 x2
F: 0.1196 0.2500 0.6688 x2
F: 0.4058 0.7500 0.6200 x2

---

3.
Structure and theoretical powder XRD pattern of RbCuBrF (a DFT-relaxed cell (PBE, Alexandria); λ = 1.5418 Å (Cu Kα)).
Lines closer than 0.1° are merged.

Top 6 peaks for 10 to 90 degrees two-theta, by angle:
d = 3.228 Å, I 27; d = 3.175 Å, I 100; d = 2.106 Å, I 38; d = 1.853 Å, I 24; d = 1.763 Å, I 27; d = 1.755 Å, I 17

Structure:
a b c (Å): 4.2110 4.2110 6.4550
angles (deg): 90.00 90.00 120.00
Space group P3m1 (No. 156)
Unique sites:
Rb: 0.0000 0.0000 0.0000 x1
Cu: 0.3333 0.6667 0.4826 x1
Br: 0.6667 0.3333 0.5805 x1
F: 0.3333 0.6667 0.1651 x1

---

4.
Structure and theoretical powder XRD pattern of Cu3ReBr2F6 (a DFT-relaxed cell (PBE, Alexandria); λ = 1.5418 Å (Cu Kα)).
Lines closer than 0.1° are merged.

Top 6 peaks for 10 to 90 degrees two-theta, by angle:
d = 3.784 Å, I 37; d = 3.719 Å, I 48; d = 3.697 Å, I 100; d = 3.087 Å, I 39; d = 2.350 Å, I 41; d = 1.848 Å, I 28

Structure:
a b c (Å): 14.9254 5.8548 4.9108
angles (deg): 90.00 94.75 90.00
Space group C2/m (No. 12)
Unique sites:
Cu: 0.0000 0.0000 0.0000 x2
Cu: 0.2500 0.2500 0.5000 x4
Re: 0.0000 0.5000 0.5000 x2
Br: 0.1907 0.0000 0.1755 x4
F: 0.0462 0.2552 0.7488 x8
F: 0.1126 0.5000 0.3331 x4

---

5.
Structure and theoretical powder XRD pattern of TlCu2BrF2 (a DFT-relaxed cell (PBE, Alexandria); λ = 1.5418 Å (Cu Kα)).
Lines closer than 0.1° are merged.

Top 6 peaks for 10 to 90 degrees two-theta, by angle:
d = 3.727 Å, I 100; d = 3.160 Å, I 35; d = 3.066 Å, I 35; d = 3.049 Å, I 69; d = 2.674 Å, I 52; d = 1.864 Å, I 34

Structure:
a b c (Å): 6.1465 5.0191 8.0898
angles (deg): 90.00 108.37 90.00
Space group P2_1/m (No. 11)
Unique sites:
Tl: 0.1720 0.2500 0.3936 x2
Cu: 0.4092 0.9996 0.8431 x4
Br: 0.2330 0.7500 0.0576 x2
F: 0.1266 0.2500 0.6986 x2
F: 0.3497 0.7500 0.6261 x2

---

6.
Structure and theoretical powder XRD pattern of Ga6CuBr12 (a DFT-relaxed cell (PBE, Alexandria); λ = 1.5418 Å (Cu Kα)).
Lines closer than 0.1° are merged.

Top 6 peaks for 10 to 90 degrees two-theta, by angle:
d = 8.324 Å, I 100; d = 5.232 Å, I 24; d = 5.078 Å, I 34; d = 3.381 Å, I 89; d = 2.079 Å, I 39; d = 2.028 Å, I 34

Structure:
a b c (Å): 18.1258 18.1258 9.8175
angles (deg): 90.00 90.00 120.00
Space group R-3 (No. 148, hexagonal axes)
Unique sites:
Ga: 0.0157 0.1289 0.3976 x18
Cu: 0.0000 0.0000 0.5000 x3
Br: 0.0245 0.1543 0.1660 x18
Br: 0.0823 0.5619 0.1752 x18